1.
ScIn3Cu8: theoretical powder diffractogram (Cu Kα (weighted mean of Kα1 and Kα2)), based on the GGA-PBE geometry in Alexandria.
Lines closer than 0.1° are merged.

Peak list (6 most intense, 2θ = 10–90°, in order of rising 2θ)
2θ = 35.47°, I = 41
2θ = 35.76°, I = 41
2θ = 41.80°, I = 54
2θ = 42.06°, I = 100
2θ = 42.19°, I = 51
2θ = 44.12°, I = 45

Structural model:
Cell lengths 8.7919, 8.7919, 8.7919 Å; angles 33.19, 33.19, 33.19 degrees
Fractional positions:
Sc (0.0000, 0.0000, 0.0000)
In (0.3728, 0.3728, 0.3728)
In (0.4983, 0.4983, 0.4983)
In (0.8770, 0.8770, 0.8770)
Cu (0.1867, 0.1867, 0.1867)
Cu (0.4373, 0.4373, 0.9371)
Cu (0.4366, 0.9365, 0.9365)
Cu (0.4373, 0.9370, 0.4373)
Cu (0.6869, 0.6869, 0.6869)
Cu (0.9365, 0.4366, 0.9365)
Cu (0.9365, 0.9365, 0.4366)
Cu (0.9371, 0.4373, 0.4373)

***

2.
Sc6In2Cu: theoretical powder diffractogram (Cu Kα (weighted mean of Kα1 and Kα2)), based on the GGA-PBE geometry in Alexandria.
Lines closer than 0.1° are merged.

Peak list (6 most intense, 2θ = 10–90°, in order of rising 2θ)
2θ = 21.68°, I = 81
2θ = 33.40°, I = 43
2θ = 33.66°, I = 99
2θ = 36.03°, I = 100
2θ = 38.03°, I = 99
2θ = 42.44°, I = 77

Structural model:
Cell lengths 8.1968, 8.1968, 3.5021 Å; angles 90.00, 90.00, 120.00 degrees
Fractional positions:
Sc (0.0000, 0.3882, 0.0000)
Sc (0.0000, 0.7479, 0.5000)
Sc (0.2521, 0.2521, 0.5000)
Sc (0.3882, 0.0000, 0.0000)
Sc (0.6118, 0.6118, 0.0000)
Sc (0.7479, 0.0000, 0.5000)
In (0.3333, 0.6667, 0.5000)
In (0.6667, 0.3333, 0.5000)
Cu (0.0000, 0.0000, 0.0000)

***

3.
InCuSe2: theoretical powder diffractogram (Cu Kα (weighted mean of Kα1 and Kα2)), based on the GGA-PBE geometry in Alexandria.
Lines closer than 0.1° are merged.

Peak list (6 most intense, 2θ = 10–90°, in order of rising 2θ)
2θ = 26.25°, I = 100
2θ = 43.35°, I = 26
2θ = 43.61°, I = 47
2θ = 51.39°, I = 30
2θ = 51.84°, I = 13
2θ = 79.73°, I = 15

Structural model:
Cell lengths 4.1744, 4.1744, 5.8378 Å; angles 90.00, 90.00, 90.00 degrees
Fractional positions:
In (0.0000, 0.0000, 0.0000)
Cu (0.5000, 0.5000, 0.5000)
Se (0.0000, 0.5000, 0.2811)
Se (0.5000, 0.0000, 0.7189)

***

4.
In2CuSe4: theoretical powder diffractogram (Cu Kα (weighted mean of Kα1 and Kα2)), based on the GGA-PBE geometry in Alexandria.
Lines closer than 0.1° are merged.

Peak list (6 most intense, 2θ = 10–90°, in order of rising 2θ)
2θ = 13.98°, I = 69
2θ = 25.62°, I = 100
2θ = 33.59°, I = 39
2θ = 41.91°, I = 78
2θ = 43.51°, I = 34
2θ = 51.17°, I = 27

Structural model:
Cell lengths 5.8832, 5.8832, 6.3363 Å; angles 90.00, 90.00, 90.00 degrees
Fractional positions:
In (0.0000, 0.5000, 0.0000)
In (0.5000, 0.0000, 0.0000)
Cu (0.0000, 0.0000, 0.0000)
Se (0.2324, 0.2324, 0.2560)
Se (0.2324, 0.7676, 0.7440)
Se (0.7676, 0.2324, 0.7440)
Se (0.7676, 0.7676, 0.2560)

***

5.
In11Cu9Se20: theoretical powder diffractogram (Cu Kα (weighted mean of Kα1 and Kα2)), based on the GGA-PBE geometry in Alexandria.
Lines closer than 0.1° are merged.

Peak list (6 most intense, 2θ = 10–90°, in order of rising 2θ)
2θ = 25.95°, I = 100
2θ = 42.97°, I = 48
2θ = 43.13°, I = 23
2θ = 50.75°, I = 15
2θ = 51.02°, I = 28
2θ = 78.97°, I = 13

Structural model:
Cell lengths 11.1210, 11.1210, 11.1210 Å; angles 106.77, 106.77, 115.03 degrees
Fractional positions:
In (0.0000, 0.0000, 0.0000)
In (0.1377, 0.0392, 0.6904)
In (0.1886, 0.3964, 0.5931)
In (0.3488, 0.4473, 0.3096)
In (0.4046, 0.8114, 0.2078)
In (0.5000, 0.5000, 0.0000)
In (0.5527, 0.8623, 0.9015)
In (0.6036, 0.1967, 0.7922)
In (0.7500, 0.2500, 0.5000)
In (0.8033, 0.5954, 0.4069)
In (0.9608, 0.6512, 0.0985)
Cu (0.0405, 0.3437, 0.8937)
Cu (0.1002, 0.7000, 0.8013)
Cu (0.2500, 0.7500, 0.5000)
Cu (0.3000, 0.1013, 0.4003)
Cu (0.4499, 0.1468, 0.1063)
Cu (0.6563, 0.5501, 0.6969)
Cu (0.7010, 0.8998, 0.5997)
Cu (0.8532, 0.9595, 0.3031)
Cu (0.8987, 0.2990, 0.1987)
Se (0.0290, 0.4378, 0.7198)
Se (0.0896, 0.7659, 0.6082)
Se (0.1206, 0.1149, 0.4817)
Se (0.1577, 0.4814, 0.3918)
Se (0.2341, 0.8423, 0.3237)
Se (0.2865, 0.1680, 0.2070)
Se (0.2998, 0.5148, 0.0928)
Se (0.3612, 0.8794, 0.9943)
Se (0.4220, 0.2070, 0.9072)
Se (0.4852, 0.5780, 0.7850)
Se (0.5186, 0.9104, 0.6763)
Se (0.5622, 0.2820, 0.5912)
Se (0.6332, 0.6388, 0.5183)
Se (0.6909, 0.9710, 0.4088)
Se (0.7180, 0.3091, 0.2802)
Se (0.7930, 0.7002, 0.2150)
Se (0.8320, 0.0390, 0.1186)
Se (0.8851, 0.3668, 0.0057)
Se (0.9204, 0.7135, 0.8814)
Se (0.9610, 0.0796, 0.7930)

***

6.
In3Cu3SiSe8: theoretical powder diffractogram (Cu Kα (weighted mean of Kα1 and Kα2)), based on the GGA-PBE geometry in Alexandria.
Lines closer than 0.1° are merged.

Peak list (6 most intense, 2θ = 10–90°, in order of rising 2θ)
2θ = 26.79°, I = 100
2θ = 43.73°, I = 26
2θ = 44.82°, I = 43
2θ = 52.03°, I = 29
2θ = 53.94°, I = 11
2θ = 81.11°, I = 13

Structural model:
Cell lengths 5.8553, 5.8553, 11.1836 Å; angles 90.00, 90.00, 90.00 degrees
Fractional positions:
In (0.0000, 0.0000, 0.0000)
In (0.0000, 0.5000, 0.2649)
In (0.5000, 0.0000, 0.7351)
Cu (0.0000, 0.5000, 0.7348)
Cu (0.5000, 0.0000, 0.2652)
Cu (0.5000, 0.5000, 0.0000)
Si (0.5000, 0.5000, 0.5000)
Se (0.2408, 0.2715, 0.6020)
Se (0.2479, 0.7211, 0.8676)
Se (0.2715, 0.7592, 0.3980)
Se (0.2789, 0.2479, 0.1324)
Se (0.7211, 0.7521, 0.1324)
Se (0.7285, 0.2408, 0.3980)
Se (0.7521, 0.2789, 0.8676)
Se (0.7592, 0.7285, 0.6020)

***

7.
InCuSnSe4: theoretical powder diffractogram (Cu Kα (weighted mean of Kα1 and Kα2)), based on the GGA-PBE geometry in Alexandria.
Lines closer than 0.1° are merged.

Peak list (6 most intense, 2θ = 10–90°, in order of rising 2θ)
2θ = 17.03°, I = 15
2θ = 26.58°, I = 100
2θ = 43.84°, I = 24
2θ = 44.24°, I = 49
2θ = 52.01°, I = 28
2θ = 52.70°, I = 15

Structural model:
Cell lengths 5.8404, 5.8404, 11.4870 Å; angles 90.00, 90.00, 90.00 degrees
Fractional positions:
In (0.0000, 0.0000, 0.0000)
In (0.5000, 0.5000, 0.5000)
Cu (0.0000, 0.0000, 0.5000)
Cu (0.5000, 0.5000, 0.0000)
Sn (0.0000, 0.5000, 0.2500)
Sn (0.5000, 0.0000, 0.7500)
Se (0.2185, 0.7490, 0.6291)
Se (0.2490, 0.2815, 0.8709)
Se (0.2510, 0.2185, 0.3709)
Se (0.2815, 0.7510, 0.1291)
Se (0.7185, 0.2490, 0.1291)
Se (0.7490, 0.7815, 0.3709)
Se (0.7510, 0.7185, 0.8709)
Se (0.7815, 0.2510, 0.6291)

***

8.
TaInCu2Se4: theoretical powder diffractogram (Cu Kα (weighted mean of Kα1 and Kα2)), based on the GGA-PBE geometry in Alexandria.
Lines closer than 0.1° are merged.

Peak list (6 most intense, 2θ = 10–90°, in order of rising 2θ)
2θ = 26.04°, I = 100
2θ = 42.82°, I = 46
2θ = 43.90°, I = 21
2θ = 49.84°, I = 16
2θ = 51.75°, I = 27
2θ = 79.94°, I = 10

Structural model:
Cell lengths 5.8336, 5.8336, 12.2488 Å; angles 90.00, 90.00, 90.00 degrees
Fractional positions:
Ta (0.0000, 0.0000, 0.0000)
Ta (0.0000, 0.0000, 0.5000)
In (0.0000, 0.5000, 0.2500)
In (0.5000, 0.0000, 0.7500)
Cu (0.0000, 0.5000, 0.7500)
Cu (0.5000, 0.0000, 0.2500)
Cu (0.5000, 0.5000, 0.0000)
Cu (0.5000, 0.5000, 0.5000)
Se (0.2104, 0.2831, 0.6093)
Se (0.2104, 0.7169, 0.8907)
Se (0.2831, 0.2104, 0.1093)
Se (0.2831, 0.7896, 0.3907)
Se (0.7169, 0.2104, 0.3907)
Se (0.7169, 0.7896, 0.1093)
Se (0.7896, 0.2831, 0.8907)
Se (0.7896, 0.7169, 0.6093)

***

9.
InCuSi: theoretical powder diffractogram (Cu Kα (weighted mean of Kα1 and Kα2)), based on the GGA-PBE geometry in Alexandria.
Lines closer than 0.1° are merged.

Peak list (6 most intense, 2θ = 10–90°, in order of rising 2θ)
2θ = 16.68°, I = 55
2θ = 32.53°, I = 76
2θ = 33.69°, I = 100
2θ = 34.57°, I = 61
2θ = 40.14°, I = 50
2θ = 44.26°, I = 59

Structural model:
Cell lengths 3.7508, 5.9463, 6.0962 Å; angles 115.19, 107.82, 90.16 degrees
Fractional positions:
In (0.1001, 0.3530, 0.2027)
In (0.8999, 0.6470, 0.7973)
Cu (0.3976, 0.3046, 0.7939)
Cu (0.6024, 0.6954, 0.2061)
Si (0.1774, 0.9861, 0.3545)
Si (0.8226, 0.0139, 0.6455)

***

10.
InCuSi: theoretical powder diffractogram (Cu Kα (weighted mean of Kα1 and Kα2)), based on the GGA-PBE geometry in Alexandria.
Lines closer than 0.1° are merged.

Peak list (6 most intense, 2θ = 10–90°, in order of rising 2θ)
2θ = 28.54°, I = 100
2θ = 31.81°, I = 55
2θ = 32.47°, I = 54
2θ = 33.05°, I = 58
2θ = 43.71°, I = 41
2θ = 44.85°, I = 66

Structural model:
Cell lengths 4.5238, 4.3303, 5.6291 Å; angles 90.00, 91.68, 90.00 degrees
Fractional positions:
In (0.2329, 0.0000, 0.0478)
In (0.7671, 0.5000, 0.9522)
Cu (0.1261, 0.7881, 0.5702)
Cu (0.8739, 0.2881, 0.4298)
Si (0.3790, 0.2927, 0.5945)
Si (0.6210, 0.7927, 0.4055)

***

11.
InCuSi: theoretical powder diffractogram (Cu Kα (weighted mean of Kα1 and Kα2)), based on the GGA-PBE geometry in Alexandria.
Lines closer than 0.1° are merged.

Peak list (6 most intense, 2θ = 10–90°, in order of rising 2θ)
2θ = 28.06°, I = 79
2θ = 28.45°, I = 77
2θ = 33.67°, I = 96
2θ = 33.80°, I = 100
2θ = 43.60°, I = 59
2θ = 43.91°, I = 59

Structural model:
Cell lengths 3.6541, 4.2414, 8.1894 Å; angles 79.70, 89.63, 64.82 degrees
Fractional positions:
In (0.0000, 0.0000, 0.0000)
In (0.3762, 0.2620, 0.2758)
Cu (0.3490, 0.3009, 0.7041)
Cu (0.7319, 0.5446, 0.4749)
Si (0.0478, 0.9128, 0.5587)
Si (0.6610, 0.6779, 0.7757)

***

12.
InCuSi: theoretical powder diffractogram (Cu Kα (weighted mean of Kα1 and Kα2)), based on the GGA-PBE geometry in Alexandria.
Lines closer than 0.1° are merged.

Peak list (6 most intense, 2θ = 10–90°, in order of rising 2θ)
2θ = 29.10°, I = 100
2θ = 30.92°, I = 99
2θ = 32.34°, I = 38
2θ = 32.70°, I = 36
2θ = 40.19°, I = 44
2θ = 49.67°, I = 42

Structural model:
Cell lengths 3.8901, 5.0030, 6.4464 Å; angles 70.46, 73.18, 89.87 degrees
Fractional positions:
In (0.0000, 0.0000, 0.0000)
In (0.4645, 0.5031, 0.9933)
Cu (0.5217, 0.5733, 0.4093)
Cu (0.5259, 0.0747, 0.4069)
Si (0.9560, 0.7636, 0.5478)
Si (0.9580, 0.2628, 0.5484)